[1]
Hf4Cu3Os: calculated XRD peak list (Cu Kα), based on a GGA-PBE-relaxed structure.
Peak positions follow from Bragg's law for the DFT cell and can differ from measured ones.

Structural model:
Cell lengths 9.1541, 6.5296, 4.5775 Å; angles 90.00, 90.00, 90.00 degrees
Space group Pmma (No. 51)
Unique sites:
Hf 0.0000 0.2492 0.0000 [4 per cell]
Hf 0.2500 0.2492 0.4987 [4 per cell]
Cu 0.0000 0.5000 0.5000 [2 per cell]
Cu 0.2500 0.0000 0.9976 [2 per cell]
Cu 0.2500 0.5000 0.9977 [2 per cell]
Os 0.0000 0.0000 0.5000 [2 per cell]

Top 6 peaks for 15° ≤ 2θ ≤ 90°, in order of rising 2θ:
d [Å]  I (rel.)  index
2.299  100  2 2 1
2.289  49  4 0 0
1.618  17  4 0 2
1.329  17  4 4 0
1.323  34  6 2 1
1.149  11  4 4 2



[2]
DyErTh: calculated XRD peak list (Cu Kα), based on a GGA-PBE-relaxed structure.
Peak positions follow from Bragg's law for the DFT cell and can differ from measured ones.

Structural model:
Cell lengths 3.5603, 3.5603, 8.6188 Å; angles 90.00, 90.00, 120.00 degrees
Space group P3m1 (No. 156)
Unique sites:
Dy 0.0000 0.0000 0.0000 [1 per cell]
Er 0.6667 0.3333 0.3437 [1 per cell]
Th 0.3333 0.6667 0.6705 [1 per cell]

Top 6 peaks for 15° ≤ 2θ ≤ 90°, in order of rising 2θ:
d [Å]  I (rel.)  index
2.903  100  1 0 1
2.873  32  0 0 3
2.508  68  0 1 2
1.780  24  1 1 0
1.766  23  1 0 4
1.513  29  1 1 3



[3]
Ac2Nd3Te6: calculated XRD peak list (Cu Kα), based on a GGA-PBE-relaxed structure.
Peak positions follow from Bragg's law for the DFT cell and can differ from measured ones.

Structural model:
Cell lengths 7.8766, 13.5935, 8.0622 Å; angles 90.00, 109.03, 90.00 degrees
Space group C2/m (No. 12)
Unique sites:
Ac 0.0000 0.1653 0.0000 [4 per cell]
Nd 0.0000 0.0000 0.5000 [2 per cell]
Nd 0.0000 0.3318 0.5000 [4 per cell]
Te 0.2372 0.5000 0.7418 [4 per cell]
Te 0.2475 0.3380 0.2575 [8 per cell]

Top 6 peaks for 15° ≤ 2θ ≤ 90°, in order of rising 2θ:
d [Å]  I (rel.)  index
3.239  100  1 3 1
2.312  40  2 0 2
2.272  25  3 3 -1
2.266  12  0 6 0
1.857  14  2 6 -2
1.459  18  0 6 4



[4]
LiDyGePt: calculated XRD peak list (Cu Kα), based on a GGA-PBE-relaxed structure.
Peak positions follow from Bragg's law for the DFT cell and can differ from measured ones.

Structural model:
Cell lengths 4.3964, 4.3964, 14.4733 Å; angles 90.00, 90.00, 120.00 degrees
Space group R3m (No. 160, hexagonal axes)
Unique sites:
Li 0.0000 0.0000 0.0000 [3 per cell]
Dy 0.0000 0.0000 0.7992 [3 per cell]
Ge 0.0000 0.0000 0.5895 [3 per cell]
Pt 0.0000 0.0000 0.2302 [3 per cell]

Top 6 peaks for 15° ≤ 2θ ≤ 90°, in order of rising 2θ:
d [Å]  I (rel.)  index
4.824  60  0 0 3
3.370  100  0 1 2
2.623  31  1 0 4
2.304  64  0 1 5
2.198  75  1 1 0
2.000  36  1 1 3



[5]
Ce2C: calculated XRD peak list (Cu Kα), based on a GGA-PBE-relaxed structure.
Peak positions follow from Bragg's law for the DFT cell and can differ from measured ones.

Structural model:
Cell lengths 3.5175, 6.0969, 12.9531 Å; angles 90.00, 90.00, 90.00 degrees
Space group Cmce (No. 64)
Unique sites:
Ce 0.0000 0.1656 0.1102 [8 per cell]
C 0.0000 0.0000 0.5000 [4 per cell]

Top 6 peaks for 15° ≤ 2θ ≤ 90°, in order of rising 2θ:
d [Å]  I (rel.)  index
3.238  42  0 0 4
2.967  47  0 2 1
2.757  100  1 1 2
2.490  39  0 2 3
1.761  31  2 0 0
1.744  23  1 3 1



[6]
AcSm2DyTm: calculated XRD peak list (Cu Kα), based on a GGA-PBE-relaxed structure.
Peak positions follow from Bragg's law for the DFT cell and can differ from measured ones.

Structural model:
Cell lengths 6.4077, 5.8567, 9.8056 Å; angles 90.00, 108.69, 90.00 degrees
Space group P2_1/m (No. 11)
Unique sites:
Ac 0.1366 0.2500 0.1060 [2 per cell]
Sm 0.2656 0.7500 0.6982 [2 per cell]
Sm 0.3382 0.2500 0.5023 [2 per cell]
Dy 0.4784 0.7500 0.1066 [2 per cell]
Tm 0.0666 0.7500 0.3110 [2 per cell]

Top 6 peaks for 15° ≤ 2θ ≤ 90°, in order of rising 2θ:
d [Å]  I (rel.)  index
3.204  24  1 0 -3
2.928  38  0 2 0
2.824  52  1 1 2
2.811  100  2 1 -1
1.857  20  3 0 1
1.668  33  1 3 2



[7]
Tb6CeDyY2: calculated XRD peak list (Cu Kα), based on a GGA-PBE-relaxed structure.
Peak positions follow from Bragg's law for the DFT cell and can differ from measured ones.

Structural model:
Cell lengths 11.4539, 6.7546, 8.9597 Å; angles 90.00, 107.48, 90.00 degrees
Space group C2/m (No. 12)
Unique sites:
Tb 0.1327 0.0000 0.4195 [4 per cell]
Tb 0.1650 0.2586 0.8032 [8 per cell]
Ce 0.0000 0.0000 0.0000 [2 per cell]
Dy 0.0000 0.5000 0.5000 [2 per cell]
Y 0.0942 0.5000 0.1745 [4 per cell]

Top 6 peaks for 15° ≤ 2θ ≤ 90°, in order of rising 2θ:
d [Å]  I (rel.)  index
2.964  68  2 0 2
2.873  36  2 2 0
2.863  100  2 2 -1
2.730  45  1 1 -3
2.698  35  4 0 -2
2.650  52  0 2 2



[8]
BeTcPHCl: calculated XRD peak list (Cu Kα), based on a GGA-PBE-relaxed structure.
Peak positions follow from Bragg's law for the DFT cell and can differ from measured ones.

Structural model:
Cell lengths 3.1102, 3.2774, 6.4227 Å; angles 90.00, 95.34, 90.00 degrees
Space group Pm (No. 6)
Unique sites:
Be 0.0000 0.0000 0.0000 [1 per cell]
Tc 0.2831 0.0000 0.3527 [1 per cell]
P 0.7620 0.5000 0.2334 [1 per cell]
H 0.7596 0.5000 0.0003 [1 per cell]
Cl 0.3899 0.0000 0.7682 [1 per cell]

Top 6 peaks for 15° ≤ 2θ ≤ 90°, in order of rising 2θ:
d [Å]  I (rel.)  index
3.277  71  0 1 0
3.197  92  0 0 2
2.289  55  0 1 2
2.251  100  1 1 0
2.170  50  1 1 -1
1.786  74  1 1 2